Entry 1:
Diffraction record for PuGeTeSe3. The powder diffractogram is calculated, not measured: it uses DFT lattice parameters and positions (PBE) and Cu Ka.
Lines closer than 0.1° are merged.

Crystal structure
a = 8.4901 Å, b = 8.4901 Å, c = 10.8594 Å
α = 90.00°, β = 90.00°, γ = 153.02°
Fractional positions:
1 Pu 0.1592 0.8408 0.5000
2 Pu 0.8408 0.1592 0.0000
3 Ge 0.2771 0.7229 0.2740
4 Ge 0.7229 0.2771 0.7740
5 Te 0.4017 0.5983 0.7897
6 Te 0.5983 0.4017 0.2897
7 Se 0.1221 0.8779 0.7567
8 Se 0.2220 0.7780 0.0585
9 Se 0.4682 0.5318 0.0030
10 Se 0.5318 0.4682 0.5030
11 Se 0.7780 0.2220 0.5585
12 Se 0.8779 0.1221 0.2567

The 10 most intense peaks (10° ≤ 2θ ≤ 90°), low angle first:
d/Å	I/Imax
8.256	22.8
6.572	100.0
3.215	33.6
3.082	41.6
2.766	52.2
2.716	46.3
2.470	39.6
2.455	21.2
2.076	41.0
1.980	19.1

=====

Entry 2:
Diffraction record for Rb7SrGd2B15O30. The powder diffractogram is calculated, not measured: it uses DFT lattice parameters and positions (PBE) and Cu Ka.
Lines closer than 0.1° are merged.

Crystal structure
a = 9.2412 Å, b = 9.2412 Å, c = 9.2412 Å
α = 92.71°, β = 92.71°, γ = 92.71°
Fractional positions:
1 Rb 0.0000 0.0000 0.0000
2 Rb 0.0000 0.4781 0.5219
3 Rb 0.0428 0.5000 0.9572
4 Rb 0.4781 0.5219 0.0000
5 Rb 0.5000 0.9572 0.0428
6 Rb 0.5219 0.0000 0.4781
7 Rb 0.9572 0.0428 0.5000
8 Sr 0.5000 0.5000 0.5000
9 Gd 0.2720 0.2720 0.2720
10 Gd 0.7280 0.7280 0.7280
11 B 0.0000 0.7418 0.2582
12 B 0.0975 0.7706 0.7331
13 B 0.2294 0.9025 0.2669
14 B 0.2484 0.6382 0.2741
15 B 0.2582 0.0000 0.7418
16 B 0.2669 0.2294 0.9025
17 B 0.2741 0.2484 0.6382
18 B 0.3618 0.7516 0.7259
19 B 0.6382 0.2741 0.2484
20 B 0.7259 0.3618 0.7516
21 B 0.7331 0.0975 0.7706
22 B 0.7418 0.2582 0.0000
23 B 0.7516 0.7259 0.3618
24 B 0.7706 0.7331 0.0975
25 B 0.9025 0.2669 0.2294
26 O 0.0329 0.2565 0.2969
27 O 0.0808 0.8840 0.2703
28 O 0.0987 0.6213 0.2650
29 O 0.1160 0.9192 0.7297
30 O 0.2209 0.6857 0.7290
31 O 0.2565 0.2969 0.0329
32 O 0.2650 0.0987 0.6213
33 O 0.2703 0.0808 0.8840
34 O 0.2710 0.3143 0.7791
35 O 0.2830 0.3320 0.5235
36 O 0.2969 0.0329 0.2565
37 O 0.3143 0.7791 0.2710
38 O 0.3320 0.5235 0.2830
39 O 0.3787 0.9013 0.7350
40 O 0.4765 0.6680 0.7170
41 O 0.5235 0.2830 0.3320
42 O 0.6213 0.2650 0.0987
43 O 0.6680 0.7170 0.4765
44 O 0.6857 0.7290 0.2209
45 O 0.7031 0.7435 0.9671
46 O 0.7170 0.4765 0.6680
47 O 0.7290 0.2209 0.6857
48 O 0.7297 0.1160 0.9192
49 O 0.7350 0.3787 0.9013
50 O 0.7435 0.9671 0.7031
51 O 0.7791 0.2710 0.3143
52 O 0.8840 0.2703 0.0808
53 O 0.9013 0.7350 0.3787
54 O 0.9192 0.7297 0.1160
55 O 0.9671 0.7031 0.7435

The 10 most intense peaks (10° ≤ 2θ ≤ 90°), low angle first:
d/Å	I/Imax
6.687	50.1
6.363	33.3
3.795	18.5
3.343	100.0
3.182	91.8
2.960	33.9
2.873	22.4
2.455	16.3
2.305	42.5
1.898	31.9

=====

Entry 3:
Diffraction record for La2SmNi9. The powder diffractogram is calculated, not measured: it uses DFT lattice parameters and positions (PBE) and Cu Ka.
Lines closer than 0.1° are merged.

Crystal structure
a = 5.1927 Å, b = 5.1927 Å, c = 8.3434 Å
α = 90.00°, β = 90.00°, γ = 123.22°
Fractional positions:
1 La 0.0000 0.0000 0.2122
2 La 0.0000 0.0000 0.7878
3 Sm 0.5000 0.5000 0.5000
4 Ni 0.0000 0.5000 0.0000
5 Ni 0.0000 0.5000 0.5000
6 Ni 0.3050 0.6950 0.2429
7 Ni 0.3050 0.6950 0.7571
8 Ni 0.5000 0.0000 0.0000
9 Ni 0.5000 0.0000 0.5000
10 Ni 0.5000 0.5000 0.0000
11 Ni 0.6950 0.3050 0.2429
12 Ni 0.6950 0.3050 0.7571

The 10 most intense peaks (10° ≤ 2θ ≤ 90°), low angle first:
d/Å	I/Imax
3.853	20.1
3.009	70.8
2.471	25.6
2.284	38.3
2.202	100.0
2.172	31.1
2.125	28.9
2.086	36.1
1.927	26.0
1.368	20.7